This entry pairs a crystal structure of Nd5Ge5Ir2 with its computed X-ray powder pattern. Radiation: Cu Kα X-rays. Structure: a structure optimized by DFT (PBE).
Kinematic intensities with the Lorentz-polarization factor, no thermal factor.

Cell: 7.995 7.995 11.478 Å, 128.83 128.83 31.22°
Element x y z (fractional)
Nd 0.000 0.000 0.000
Nd 0.114 0.114 0.423
Nd 0.202 0.202 0.828
Nd 0.798 0.798 0.172
Nd 0.886 0.886 0.577
Ge 0.250 0.250 0.304
Ge 0.444 0.444 0.163
Ge 0.500 0.500 0.500
Ge 0.556 0.556 0.837
Ge 0.750 0.750 0.696
Ir 0.354 0.354 0.736
Ir 0.646 0.646 0.264

Main lines, by intensity (2θ = 15–90°):
2theta, d [Å], I_rel
31.4, 2.847, 100
38.9, 2.317, 64
33.5, 2.676, 48
32.7, 2.741, 42
42.0, 2.151, 41
36.8, 2.444, 29
33.7, 2.658, 27
65.1, 1.433, 24
54.2, 1.692, 23
36.4, 2.471, 21
48.6, 1.875, 19
48.7, 1.869, 18